(1)
Simulated powder X-ray diffraction pattern
Compound: Zr2Sn
Radiation: CuKα
Structure: a GGA-PBE-relaxed structure
Neutral-atom scattering factors, no anomalous dispersion.

Main lines, in order of falling intensity (5° ≤ 2θ ≤ 70°):
- 36.57°, rel. 100.0
- 36.70°, rel. 95.5
- 36.91°, rel. 92.6
- 33.46°, rel. 87.2
- 61.91°, rel. 41.9
- 32.75°, rel. 23.7
- 32.51°, rel. 21.8
- 32.37°, rel. 21.2
- 62.09°, rel. 20.1
- 68.77°, rel. 18.7
- 68.36°, rel. 18.0
- 69.01°, rel. 17.6

Structural model:
a = 8.393 Å, b = 5.355 Å, c = 12.696 Å
α = 90.00°, β = 100.16°, γ = 90.00°
Space group P2_1/m (No. 11)
One atom of each set of equivalent atoms:
Zr1 0.029 0.250 0.315 (multiplicity 2)
Zr2 0.049 0.250 0.068 (multiplicity 2)
Zr3 0.068 0.250 0.569 (multiplicity 2)
Zr4 0.068 0.250 0.821 (multiplicity 2)
Zr5 0.263 0.750 0.345 (multiplicity 2)
Zr6 0.272 0.750 0.103 (multiplicity 2)
Zr7 0.390 0.250 0.990 (multiplicity 2)
Zr8 0.393 0.250 0.482 (multiplicity 2)
Sn1 0.272 0.750 0.581 (multiplicity 2)
Sn2 0.278 0.750 0.864 (multiplicity 2)
Sn3 0.362 0.250 0.235 (multiplicity 2)
Sn4 0.398 0.250 0.735 (multiplicity 2)

=====

(2)
Simulated powder X-ray diffraction pattern
Compound: Na6TeN4
Radiation: CuKα
Structure: a GGA-PBE-relaxed structure
Neutral-atom scattering factors, no anomalous dispersion.

Main lines, in order of falling intensity (5° ≤ 2θ ≤ 70°):
- 19.11°, rel. 100.0
- 30.30°, rel. 91.4
- 38.56°, rel. 51.8
- 16.41°, rel. 45.5
- 45.73°, rel. 36.0
- 33.17°, rel. 36.0
- 34.88°, rel. 30.0
- 54.16°, rel. 25.1
- 47.62°, rel. 23.4
- 30.56°, rel. 19.9
- 23.29°, rel. 19.4
- 68.01°, rel. 18.3

Structural model:
a = 7.638 Å, b = 7.638 Å, c = 5.850 Å
α = 90.00°, β = 90.00°, γ = 90.00°
Space group P4_2/nmc (No. 137, origin choice 2)
One atom of each set of equivalent atoms:
Na1 0.043 0.543 0.250 (multiplicity 8)
Na2 0.250 0.250 0.113 (multiplicity 4)
Te1 0.250 0.750 0.750 (multiplicity 2)
N1 0.025 0.750 0.575 (multiplicity 8)